Li3V3B2O10: computed powder XRD pattern (Cu Kα X-rays), based on a structure optimized by DFT (GGA+U).

Structural model:
a b c (Å): 3.013 9.333 12.166
angles (deg): 91.44 90.09 90.74
Positions (direct):
1 Li 0.000 0.000 0.000
2 Li 0.001 0.520 0.496
3 Li 0.021 0.513 0.215
4 Li 0.483 0.790 0.880
5 Li 0.499 0.018 0.494
6 Li 0.989 0.542 0.771
7 V 0.002 0.016 0.716
8 V 0.481 0.750 0.386
9 V 0.514 0.254 0.108
10 V 0.518 0.286 0.605
11 V 0.546 0.522 0.993
12 V 0.995 0.012 0.277
13 B 0.500 0.286 0.354
14 B 0.501 0.747 0.639
15 B 0.502 0.786 0.126
16 B 0.503 0.246 0.864
17 O 0.001 0.127 0.149
18 O 0.005 0.617 0.934
19 O 0.013 0.142 0.577
20 O 0.018 0.635 0.351
21 O 0.029 0.401 0.064
22 O 0.478 0.358 0.455
23 O 0.489 0.677 0.732
24 O 0.492 0.864 0.037
25 O 0.493 0.391 0.859
26 O 0.493 0.861 0.235
27 O 0.497 0.905 0.641
28 O 0.499 0.133 0.352
29 O 0.501 0.166 0.955
30 O 0.507 0.168 0.757
31 O 0.517 0.358 0.258
32 O 0.524 0.681 0.535
33 O 0.526 0.638 0.132
34 O 0.981 0.400 0.641
35 O 0.989 0.894 0.416
36 O 0.995 0.932 0.836

Peak list (6 most intense, 5° ≤ 2θ ≤ 70°, in order of rising 2θ)
| 2theta | d_spacing | I (rel.) | index |
| --- | --- | --- | --- |
| 9.48 | 9.329 | 24 | 0 1 0 |
| 11.81 | 7.494 | 36 | 0 1 -1 |
| 17.61 | 5.037 | 100 | 0 1 2 |
| 35.25 | 2.546 | 26 | 1 -2 0 |
| 35.67 | 2.517 | 45 | 1 2 0 |
| 41.43 | 2.179 | 22 | 0 2 -5 |